# Dy3Mn3Ga2Si
Simulated XRD peak list, Cu Ka. Input: a DFT-relaxed cell (PBE, Alexandria).
Neutral-atom scattering factors, no anomalous dispersion.

Principal peaks in the range 10 to 90 degrees two-theta, low angle first:
d_spacing  2θ (°)  Rel. int.  index
4.158  21.4  19  0 0 1
3.483  25.6  18  1 1 0
3.016  29.6  32  2 0 0
2.670  33.6  88  1 1 1
2.442  36.8  100  2 0 1
2.280  39.5  39  2 1 0
2.079  43.5  26  0 0 2
1.673  54.9  19  3 1 0
1.552  59.6  34  1 3 1
1.536  60.2  22  2 1 2

```
data_Dy3Mn3Ga2Si
_chemical_formula_sum 'Dy3 Mn3 Ga2 Si1'
_symmetry_space_group_name_H-M 'P -6'
_symmetry_Int_Tables_number 174
_cell_length_a 6.9655
_cell_length_b 6.9655
_cell_length_c 4.1583
_cell_angle_alpha 90.00
_cell_angle_beta 90.00
_cell_angle_gamma 120.00
loop_
_symmetry_equiv_pos_as_xyz
'x,y,z'
'-x+y,-x,-z'
'-y,x-y,z'
'x,y,-z'
'-x+y,-x,z'
'-y,x-y,-z'
loop_
_atom_site_label
_atom_site_type_symbol
_atom_site_fract_x
_atom_site_fract_y
_atom_site_fract_z
Dy1 Dy 0.0041 0.4227 0.0000
Mn1 Mn 0.0124 0.7719 0.5000
Ga1 Ga 0.0000 0.0000 0.0000
Ga2 Ga 0.6667 0.3333 0.5000
Si1 Si 0.3333 0.6667 0.5000
```